[1]
Simulated powder X-ray diffraction pattern
Compound: Sm3Al
Radiation: Cu Kα, 1.54184 Å
Structure: a DFT-relaxed cell (PBE, the Materials Project)
Neutral-atom scattering factors, no anomalous dispersion.

Unit cell a=7.0189 b=7.0189 c=5.3673 alpha=90.00 beta=90.00 gamma=120.00
Space group P6_3/mmc (No. 194)
Symmetry-distinct sites (fractional):
Sm (0.1768, 0.3537, 0.2500)
Al (0.3333, 0.6667, 0.7500)

Largest 10 diffraction maxima, in order of rising 2θ, 10 to 80 degrees two-theta:
| index | d/Å | I/Imax |
| --- | --- | --- |
| 1 0 1 | 4.023 | 28 |
| 1 1 0 | 3.509 | 9 |
| 2 0 0 | 3.039 | 24 |
| 0 0 2 | 2.684 | 24 |
| 2 0 1 | 2.645 | 100 |
| 2 0 2 | 2.012 | 15 |
| 2 2 0 | 1.755 | 18 |
| 2 0 3 | 1.542 | 19 |
| 2 2 2 | 1.469 | 21 |
| 4 0 1 | 1.462 | 15 |


[2]
Simulated powder X-ray diffraction pattern
Compound: SmAl4
Radiation: Cu Kα, 1.54184 Å
Structure: a DFT-relaxed cell (PBE, the Materials Project)
Neutral-atom scattering factors, no anomalous dispersion.

Unit cell a=4.478 b=6.391 c=13.762 alpha=90.00 beta=90.00 gamma=90.00
Space group Imma (No. 74)
Symmetry-distinct sites (fractional):
Sm (0.000, 0.250, 0.114)
Al (0.000, 0.000, 0.500)
Al (0.000, 0.039, 0.698)
Al (0.000, 0.250, 0.887)

Largest 10 diffraction maxima, in order of rising 2θ, 10 to 80 degrees two-theta:
| index | d/Å | I/Imax |
| --- | --- | --- |
| 0 1 1 | 5.796 | 41 |
| 1 0 1 | 4.258 | 36 |
| 0 1 3 | 3.727 | 41 |
| 0 0 4 | 3.440 | 23 |
| 1 1 2 | 3.236 | 79 |
| 0 2 0 | 3.200 | 26 |
| 1 2 1 | 2.556 | 78 |
| 1 0 5 | 2.343 | 100 |
| 2 0 0 | 2.239 | 28 |
| 2 2 4 | 1.618 | 27 |


[3]
Simulated powder X-ray diffraction pattern
Compound: Sm4Al
Radiation: Cu Kα, 1.54184 Å
Structure: a DFT-relaxed cell (PBE, the Materials Project)
Neutral-atom scattering factors, no anomalous dispersion.

Unit cell a=11.356 b=11.356 c=11.356 alpha=90.00 beta=90.00 gamma=90.00
Space group Fd-3m (No. 227, origin choice 2)
Symmetry-distinct sites (fractional):
Sm (0.018, 0.018, 0.232)
Al (0.125, 0.125, 0.625)

Largest 10 diffraction maxima, in order of rising 2θ, 10 to 80 degrees two-theta:
| index | d/Å | I/Imax |
| --- | --- | --- |
| 1 1 1 | 6.556 | 11 |
| 2 2 2 | 3.278 | 100 |
| 4 0 0 | 2.839 | 44 |
| 3 3 1 | 2.605 | 16 |
| 3 3 3 | 2.185 | 25 |
| 4 4 0 | 2.007 | 32 |
| 6 2 2 | 1.712 | 30 |
| 5 5 1 | 1.590 | 14 |
| 7 3 1 | 1.478 | 12 |
| 7 3 3 | 1.387 | 10 |


[4]
Simulated powder X-ray diffraction pattern
Compound: SmAl20V2
Radiation: Cu Kα, 1.54184 Å
Structure: a DFT-relaxed cell (PBE, the Materials Project)
Neutral-atom scattering factors, no anomalous dispersion.

Unit cell a=14.551 b=14.551 c=14.551 alpha=90.00 beta=90.00 gamma=90.00
Space group Fd-3m (No. 227, origin choice 2)
Symmetry-distinct sites (fractional):
Sm (0.125, 0.125, 0.125)
Al (0.000, 0.000, 0.000)
Al (0.012, 0.375, 0.875)
Al (0.059, 0.059, 0.326)
V (0.000, 0.000, 0.500)

Largest 10 diffraction maxima, in order of rising 2θ, 10 to 80 degrees two-theta:
| index | d/Å | I/Imax |
| --- | --- | --- |
| 2 2 0 | 5.145 | 56 |
| 3 1 1 | 4.387 | 88 |
| 4 4 0 | 2.572 | 46 |
| 5 3 1 | 2.460 | 100 |
| 6 2 0 | 2.301 | 68 |
| 5 3 3 | 2.219 | 92 |
| 6 2 2 | 2.194 | 65 |
| 6 6 0 | 1.715 | 44 |
| 10 2 0 | 1.427 | 26 |
| 8 8 0 | 1.286 | 41 |